Starting from a PBE-relaxed structure, the powder XRD pattern of MgZn8O8 was simulated for CuKα.
Lines closer than 0.1° are merged.

Main lines, sorted by position (10° ≤ 2θ ≤ 90°):
2θ (°)	I/Imax
31.63	54
31.96	16
32.91	32
35.78	100
36.64	20
46.30	23
51.28	14
54.58	19
56.34	36
60.64	15

Atomic structure:
Cell: 6.5318 6.5318 5.4431 Å, 90.00 90.00 120.00°
Atoms (fractional coordinates):
1 Mg 0.0000 0.0000 0.0000
2 Zn 0.2003 0.4006 0.2065
3 Zn 0.2003 0.7997 0.2065
4 Zn 0.3333 0.6667 0.8064
5 Zn 0.3374 0.1687 0.6285
6 Zn 0.5994 0.7997 0.2065
7 Zn 0.6667 0.3333 0.1248
8 Zn 0.8313 0.1687 0.6285
9 Zn 0.8313 0.6626 0.6285
10 O 0.1473 0.2947 0.7975
11 O 0.1473 0.8527 0.7975
12 O 0.3204 0.1602 0.2559
13 O 0.3333 0.6667 0.4476
14 O 0.6667 0.3333 0.7545
15 O 0.7053 0.8527 0.7975
16 O 0.8398 0.1602 0.2559
17 O 0.8398 0.6796 0.2559

=====

Starting from a PBE-relaxed structure, the powder XRD pattern of NiH6C8S8N2 was simulated for CuKα.
Lines closer than 0.1° are merged.

Main lines, sorted by position (10° ≤ 2θ ≤ 90°):
2θ (°)	I/Imax
13.46	36
15.26	51
17.88	49
22.13	63
24.76	24
25.23	100
25.58	74
26.60	60
32.07	27
42.35	22

Atomic structure:
Cell: 5.0810 21.3556 7.5382 Å, 90.00 113.44 90.00°
Atoms (fractional coordinates):
1 Ni 0.0000 0.0000 0.0000
2 Ni 0.0000 0.5000 0.5000
3 H 0.2988 0.1670 0.7164
4 H 0.2988 0.3330 0.2164
5 H 0.4353 0.1406 0.5414
6 H 0.4353 0.3594 0.0414
7 H 0.4779 0.7173 0.8546
8 H 0.4779 0.7827 0.3546
9 H 0.5221 0.2173 0.6454
10 H 0.5221 0.2827 0.1454
11 H 0.5647 0.6406 0.9586
12 H 0.5647 0.8594 0.4586
13 H 0.7012 0.6670 0.7836
14 H 0.7012 0.8330 0.2836
15 C 0.1801 0.6570 0.1795
16 C 0.1801 0.8430 0.6795
17 C 0.3564 0.1809 0.5962
18 C 0.3564 0.3191 0.0962
19 C 0.4182 0.1089 0.1404
20 C 0.4182 0.3911 0.6404
21 C 0.4402 0.5578 0.2411
22 C 0.4402 0.9422 0.7411
23 C 0.5598 0.0578 0.2589
24 C 0.5598 0.4422 0.7589
25 C 0.5818 0.6089 0.3596
26 C 0.5818 0.8911 0.8596
27 C 0.6436 0.6809 0.9038
28 C 0.6436 0.8191 0.4038
29 C 0.8199 0.1570 0.3205
30 C 0.8199 0.3430 0.8205
31 S 0.0590 0.2180 0.4057
32 S 0.0590 0.2820 0.9057
33 S 0.0809 0.0976 0.9666
34 S 0.0809 0.4024 0.4666
35 S 0.1068 0.5812 0.0778
36 S 0.1068 0.9188 0.5778
37 S 0.4071 0.5137 0.7339
38 S 0.4071 0.9863 0.2339
39 S 0.5929 0.0137 0.7661
40 S 0.5929 0.4863 0.2661
41 S 0.8932 0.0812 0.4222
42 S 0.8932 0.4188 0.9222
43 S 0.9191 0.5976 0.5334
44 S 0.9191 0.9024 0.0334
45 S 0.9410 0.7180 0.0943
46 S 0.9410 0.7820 0.5943
47 N 0.4333 0.6640 0.3231
48 N 0.4333 0.8360 0.8231
49 N 0.5667 0.1640 0.1769
50 N 0.5667 0.3360 0.6769

=====

Starting from a PBE-relaxed structure, the powder XRD pattern of Dy2TmIn3Ni2Au was simulated for CuKα.
Lines closer than 0.1° are merged.

Main lines, sorted by position (10° ≤ 2θ ≤ 90°):
2θ (°)	I/Imax
27.38	23
33.13	100
35.96	99
36.49	36
41.59	45
43.49	24
46.69	24
60.66	16
64.28	24
67.08	35

Atomic structure:
Cell: 3.8909 7.5220 7.5220 Å, 119.98 90.00 90.00°
Atoms (fractional coordinates):
1 Dy 0.0000 0.2034 0.7966
2 Dy 0.0000 0.7966 0.2034
3 Tm 0.0000 0.3888 0.3888
4 In 0.5000 0.0709 0.0709
5 In 0.5000 0.5211 0.7949
6 In 0.5000 0.7949 0.5211
7 Ni 0.5000 0.1306 0.4617
8 Ni 0.5000 0.4617 0.1306
9 Au 0.0000 0.7941 0.7941

=====

Starting from a PBE-relaxed structure, the powder XRD pattern of HfS4Br2Cl4 was simulated for CuKα.
Lines closer than 0.1° are merged.

Main lines, sorted by position (10° ≤ 2θ ≤ 90°):
2θ (°)	I/Imax
14.63	77
15.10	57
16.45	100
16.57	63
16.90	57
22.14	55
23.03	67
35.53	43
36.12	56
36.67	47

Atomic structure:
Cell: 7.1586 7.2232 7.8138 Å, 63.64 65.16 61.28°
Atoms (fractional coordinates):
1 Hf 0.0000 0.0000 0.0000
2 S 0.3314 0.4444 0.6779
3 S 0.3950 0.7276 0.4984
4 S 0.6050 0.2724 0.5016
5 S 0.6686 0.5556 0.3221
6 Br 0.1477 0.6003 0.2268
7 Br 0.8523 0.3997 0.7732
8 Cl 0.0215 0.1522 0.2161
9 Cl 0.3853 0.9705 0.8146
10 Cl 0.6147 0.0295 0.1854
11 Cl 0.9785 0.8478 0.7839

=====

Starting from a PBE-relaxed structure, the powder XRD pattern of Cu4Ag was simulated for CuKα.
Lines closer than 0.1° are merged.

Main lines, sorted by position (10° ≤ 2θ ≤ 90°):
2θ (°)	I/Imax
41.66	100
41.81	49
42.28	47
48.34	65
49.46	28
71.32	25
71.98	16
85.19	11
85.50	11
85.81	11

Atomic structure:
Cell: 6.4145 2.6810 7.8594 Å, 90.00 104.77 90.00°
Atoms (fractional coordinates):
1 Cu 0.0404 0.2500 0.1679
2 Cu 0.1494 0.7500 0.4501
3 Cu 0.2479 0.2500 0.7323
4 Cu 0.4519 0.2500 0.3618
5 Cu 0.5481 0.7500 0.6382
6 Cu 0.7521 0.7500 0.2677
7 Cu 0.8506 0.2500 0.5499
8 Cu 0.9596 0.7500 0.8321
9 Ag 0.3368 0.7500 0.0553
10 Ag 0.6632 0.2500 0.9447

=====

Starting from a PBE-relaxed structure, the powder XRD pattern of Pd17Pb was simulated for CuKα.
Lines closer than 0.1° are merged.

Main lines, sorted by position (10° ≤ 2θ ≤ 90°):
2θ (°)	I/Imax
11.08	17
39.14	71
39.50	39
40.09	100
42.49	16
45.59	71
47.34	34
67.52	34
68.06	17
81.13	27

Atomic structure:
Cell: 5.5504 5.5504 31.9390 Å, 90.00 90.00 120.00°
Atoms (fractional coordinates):
1 Pd 0.0000 0.0000 0.0000
2 Pd 0.0000 0.0000 0.2128
3 Pd 0.0000 0.0000 0.7872
4 Pd 0.0000 0.5000 0.0000
5 Pd 0.0020 0.5010 0.2137
6 Pd 0.1662 0.3323 0.7150
7 Pd 0.1662 0.8338 0.7150
8 Pd 0.1666 0.3332 0.9292
9 Pd 0.1671 0.3341 0.1419
10 Pd 0.1671 0.8329 0.1419
11 Pd 0.1666 0.8334 0.9292
12 Pd 0.3323 0.1662 0.2850
13 Pd 0.3332 0.1666 0.0708
14 Pd 0.3333 0.6667 0.0708
15 Pd 0.3333 0.6667 0.8582
16 Pd 0.3341 0.1671 0.8581
17 Pd 0.4990 0.5010 0.2137
18 Pd 0.4990 0.9980 0.2137
19 Pd 0.5000 0.0000 0.0000
20 Pd 0.5000 0.5000 0.0000
21 Pd 0.5010 0.0020 0.7863
22 Pd 0.5010 0.4990 0.7863
23 Pd 0.6659 0.8329 0.1419
24 Pd 0.6667 0.3333 0.1418
25 Pd 0.6667 0.3333 0.9292
26 Pd 0.6668 0.8334 0.9292
27 Pd 0.6677 0.8338 0.7150
28 Pd 0.8334 0.1666 0.0708
29 Pd 0.8329 0.1671 0.8581
30 Pd 0.8329 0.6659 0.8581
31 Pd 0.8334 0.6668 0.0708
32 Pd 0.8338 0.1662 0.2850
33 Pd 0.8338 0.6677 0.2850
34 Pd 0.9980 0.4990 0.7863
35 Pb 0.3333 0.6667 0.2972
36 Pb 0.6667 0.3333 0.7028

=====

Starting from a PBE-relaxed structure, the powder XRD pattern of Sm3Ni7B2 was simulated for CuKα.
Lines closer than 0.1° are merged.

Main lines, sorted by position (10° ≤ 2θ ≤ 90°):
2θ (°)	I/Imax
34.72	48
36.96	24
37.09	100
40.30	24
40.81	77
43.08	97
63.78	46
68.01	24
72.58	27
73.27	27

Atomic structure:
Cell: 5.1679 5.1679 14.4157 Å, 90.00 90.00 120.00°
Atoms (fractional coordinates):
1 Sm 0.3333 0.6667 0.0310
2 Sm 0.3333 0.6667 0.2500
3 Sm 0.3333 0.6667 0.4690
4 Sm 0.6667 0.3333 0.5310
5 Sm 0.6667 0.3333 0.7500
6 Sm 0.6667 0.3333 0.9690
7 Ni 0.0000 0.0000 0.0000
8 Ni 0.0000 0.0000 0.5000
9 Ni 0.1653 0.3305 0.6511
10 Ni 0.1653 0.3305 0.8489
11 Ni 0.1653 0.8347 0.6511
12 Ni 0.1653 0.8347 0.8489
13 Ni 0.3305 0.1653 0.1511
14 Ni 0.3305 0.1653 0.3489
15 Ni 0.6695 0.8347 0.6511
16 Ni 0.6695 0.8347 0.8489
17 Ni 0.8347 0.1653 0.1511
18 Ni 0.8347 0.1653 0.3489
19 Ni 0.8347 0.6695 0.1511
20 Ni 0.8347 0.6695 0.3489
21 B 0.0000 0.0000 0.2500
22 B 0.0000 0.0000 0.7500
23 B 0.3333 0.6667 0.7500
24 B 0.6667 0.3333 0.2500

=====

Starting from a PBE-relaxed structure, the powder XRD pattern of Hf2ZrFe4As4 was simulated for CuKα.
Lines closer than 0.1° are merged.

Main lines, sorted by position (10° ≤ 2θ ≤ 90°):
2θ (°)	I/Imax
11.87	74
23.80	28
30.07	31
36.73	100
36.83	63
38.72	98
38.84	87
43.73	31
45.97	36
48.68	71

Atomic structure:
Cell: 6.4614 3.7411 7.4546 Å, 90.00 90.36 90.00°
Atoms (fractional coordinates):
1 Hf 0.0000 0.0000 0.0000
2 Hf 0.4868 0.0000 0.8485
3 Zr 0.5667 0.5000 0.4915
4 Fe 0.1722 0.5000 0.7243
5 Fe 0.4300 0.0000 0.2216
6 Fe 0.6626 0.5000 0.1206
7 Fe 0.9064 0.0000 0.6242
8 As 0.2565 0.0000 0.5196
9 As 0.2850 0.5000 0.0626
10 As 0.7919 0.5000 0.8073
11 As 0.8057 0.0000 0.3085

=====

Starting from a PBE-relaxed structure, the powder XRD pattern of ZnF2 was simulated for CuKα.
Lines closer than 0.1° are merged.

Main lines, sorted by position (10° ≤ 2θ ≤ 90°):
2θ (°)	I/Imax
27.55	100
33.60	17
34.37	33
35.07	17
52.15	19
52.73	18
53.76	16
54.21	17
56.88	18
68.23	12

Atomic structure:
Cell: 3.1804 4.5735 5.4664 Å, 90.00 123.01 90.00°
Atoms (fractional coordinates):
1 Zn 0.0000 0.0000 0.0000
2 Zn 0.0000 0.5000 0.5000
3 F 0.3070 0.1952 0.8014
4 F 0.3070 0.3048 0.3014
5 F 0.6930 0.6952 0.6986
6 F 0.6930 0.8048 0.1986

=====

Starting from a PBE-relaxed structure, the powder XRD pattern of Cu2Ag5 was simulated for CuKα.
Lines closer than 0.1° are merged.

Main lines, sorted by position (10° ≤ 2θ ≤ 90°):
2θ (°)	I/Imax
36.67	11
38.82	99
38.98	100
44.41	72
46.83	23
64.84	11
66.51	29
77.90	22
78.19	13
78.23	11

Atomic structure:
Cell: 9.5052 2.8759 8.2850 Å, 90.00 93.58 90.00°
Atoms (fractional coordinates):
1 Cu 0.1604 0.0000 0.0690
2 Cu 0.3396 0.5000 0.9310
3 Cu 0.6604 0.5000 0.0690
4 Cu 0.8396 0.0000 0.9310
5 Ag 0.0000 0.0000 0.5000
6 Ag 0.0573 0.5000 0.8131
7 Ag 0.2211 0.5000 0.3452
8 Ag 0.2789 0.0000 0.6548
9 Ag 0.4427 0.0000 0.1869
10 Ag 0.5000 0.5000 0.5000
11 Ag 0.5573 0.0000 0.8131
12 Ag 0.7211 0.0000 0.3452
13 Ag 0.7789 0.5000 0.6548
14 Ag 0.9427 0.5000 0.1869

=====

Starting from a PBE-relaxed structure, the powder XRD pattern of NdDyGe2Au2 was simulated for CuKα.
Lines closer than 0.1° are merged.

Main lines, sorted by position (10° ≤ 2θ ≤ 90°):
2θ (°)	I/Imax
25.72	32
33.09	100
40.02	70
42.89	17
48.43	8
52.87	27
64.58	20
68.32	25
72.70	12
86.38	8

Atomic structure:
Cell: 4.5056 4.5056 7.5175 Å, 90.00 90.00 120.00°
Atoms (fractional coordinates):
1 Nd 0.0000 0.0000 0.0000
2 Dy 0.0000 0.0000 0.4976
3 Ge 0.3333 0.6667 0.7030
4 Ge 0.6667 0.3333 0.2163
5 Au 0.3333 0.6667 0.2976
6 Au 0.6667 0.3333 0.7615